For Pr3Al11, a cell relaxed with PBE gives the theoretical XRD peak list in this record (CuKα).

```
data_Pr3Al11
_cell_length_a 4.4018
_cell_length_b 10.0471
_cell_length_c 13.0898
_cell_angle_alpha 90.00
_cell_angle_beta 90.00
_cell_angle_gamma 90.00
_symmetry_space_group_name_H-M 'I m m m'
_symmetry_Int_Tables_number 71
_symmetry_space_group_name_Hall '-I 2 2'
loop_
_atom_site_label
_atom_site_type_symbol
_atom_site_fract_x
_atom_site_fract_y
_atom_site_fract_z
Pr1 Pr 0.0000 0.0000 0.0000
Pr2 Pr 0.0000 0.0000 0.3173
Al1 Al 0.0000 0.2156 0.5000
Al2 Al 0.0000 0.2744 0.1369
Al3 Al 0.0000 0.3682 0.3340
Al4 Al 0.0000 0.5000 0.0000
```

Most intense lines, 10 to 90 degrees two-theta, by intensity:
two_theta	I_rel
33.99	100.0
22.05	46.6
22.21	45.4
33.63	39.9
28.81	38.8
33.74	34.0
17.66	31.3
41.01	24.0
49.93	20.8
54.11	17.6